Structure and simulated X-ray powder pattern of Sm2NiSn4 (DFT lattice parameters and positions (PBE); Cu Kα, 1.54184 Å).
Intensities are scaled so that the largest is 100.

Cell and atoms:
```
data_Sm2NiSn4
_chemical_formula_sum 'Sm4 Ni2 Sn8'
_space_group_name_H-M_alt 'A m m 2'
_space_group_IT_number 38
_cell_length_a 4.4850
_cell_length_b 4.4743
_cell_length_c 17.4006
_cell_angle_alpha 90.00
_cell_angle_beta 90.00
_cell_angle_gamma 90.00
loop_
_space_group_symop_operation_xyz
'x,y,z'
'-x,-y,z'
'-x,y,z'
'x,-y,z'
'x,y+1/2,z+1/2'
'-x,-y+1/2,z+1/2'
'-x,y+1/2,z+1/2'
'x,-y+1/2,z+1/2'
loop_
_atom_site_label
_atom_site_fract_x
_atom_site_fract_y
_atom_site_fract_z
Sm1 0.0000 0.0000 0.0000
Sm2 0.5000 0.0000 0.2073
Ni1 0.0000 0.0000 0.7929
Sn1 0.0000 0.0000 0.3625
Sn2 0.0000 0.0000 0.6500
Sn3 0.5000 0.0000 0.5396
Sn4 0.5000 0.0000 0.8618
```

Most intense lines, 15° ≤ 2θ ≤ 90°, sorted by position:
two_theta	I_rel	(hkl)
30.83	15	0 0 6
32.20	100	1 1 3
36.91	16	1 0 6
40.21	20	2 0 0
40.31	20	0 2 0
51.50	14	2 0 6
58.26	14	2 2 0
67.32	13	2 2 6
68.07	12	3 1 3
68.21	12	1 3 3



Structure and simulated X-ray powder pattern of RuPt (DFT lattice parameters and positions (PBE); Cu Kα, 1.54184 Å).
Intensities are scaled so that the largest is 100.

Cell and atoms:
```
data_RuPt
_chemical_formula_sum 'Ru4 Pt4'
_space_group_name_H-M_alt 'C 1 2/m 1'
_space_group_IT_number 12
_cell_length_a 9.1457
_cell_length_b 2.7386
_cell_length_c 4.7792
_cell_angle_alpha 90.00
_cell_angle_beta 99.79
_cell_angle_gamma 90.00
loop_
_space_group_symop_operation_xyz
'x,y,z'
'-x,-y,-z'
'-x,y,-z'
'x,-y,z'
'x+1/2,y+1/2,z'
'-x+1/2,-y+1/2,-z'
'-x+1/2,y+1/2,-z'
'x+1/2,-y+1/2,z'
loop_
_atom_site_label
_atom_site_fract_x
_atom_site_fract_y
_atom_site_fract_z
Ru1 0.1299 0.0000 0.3865
Pt1 0.1222 0.5000 0.8721
```

Most intense lines, 15° ≤ 2θ ≤ 90°, sorted by position:
two_theta	I_rel	(hkl)
18.84	11	0 0 1
40.05	100	2 0 -2
40.20	99	1 1 1
46.45	32	2 0 2
46.78	65	3 1 -1
68.06	52	6 0 -2
81.83	18	0 0 4
82.13	25	5 1 -3
82.44	25	2 2 -2
86.84	11	2 2 2



Structure and simulated X-ray powder pattern of Ce5Ga3Ag3 (DFT lattice parameters and positions (PBE); Cu Kα, 1.54184 Å).
Intensities are scaled so that the largest is 100.

Cell and atoms:
```
data_Ce5Ga3Ag3
_chemical_formula_sum 'Ce5 Ga3 Ag3'
_space_group_name_H-M_alt 'P -6 2 m'
_space_group_IT_number 189
_space_group_name_Hall 'P -6 -2'
_cell_length_a 9.8646
_cell_length_b 9.8646
_cell_length_c 3.0056
_cell_angle_alpha 90.00
_cell_angle_beta 90.00
_cell_angle_gamma 120.00
loop_
_atom_site_label
_atom_site_fract_x
_atom_site_fract_y
_atom_site_fract_z
Ce1 0.0000 0.6485 0.0000
Ce2 0.3333 0.6667 0.0000
Ga1 0.0000 0.1501 0.0000
Ag1 0.0000 0.3681 0.5000
```

Most intense lines, 15° ≤ 2θ ≤ 90°, sorted by position:
two_theta	I_rel	(hkl)
29.72	16	0 0 1
31.41	100	3 0 0
34.96	79	1 1 1
37.98	27	3 1 0
41.03	25	2 1 1
47.70	45	2 2 1
55.96	22	3 3 0
58.24	19	4 1 1
65.60	25	6 0 0
70.91	19	3 0 2